Record 1
# Co2Re5B4
Computed X-ray powder pattern, Cu Kα (λ = 1.5418 Å). Input: a cell relaxed with GGA-PBE.
No peak broadening, texture or thermal motion is included.

Crystal structure
a b c (Å): 5.381 5.381 8.097
angles (deg): 90.00 90.00 90.03
Fractional coordinates of all 22 atoms:
Co 0.000 0.500 0.500
Co 0.162 0.162 0.000
Co 0.500 0.000 0.500
Co 0.838 0.838 0.000
Re 0.173 0.827 0.284
Re 0.173 0.827 0.716
Re 0.323 0.323 0.283
Re 0.323 0.323 0.717
Re 0.335 0.665 0.000
Re 0.665 0.335 0.000
Re 0.677 0.677 0.283
Re 0.677 0.677 0.717
Re 0.827 0.173 0.284
Re 0.827 0.173 0.716
B 0.000 0.500 0.136
B 0.000 0.500 0.864
B 0.123 0.123 0.500
B 0.379 0.621 0.500
B 0.500 0.000 0.136
B 0.500 0.000 0.864
B 0.621 0.379 0.500
B 0.877 0.877 0.500

Main lines, most intense first (10 to 90 degrees two-theta):
2theta, d_spacing, I_rel
43.8, 2.069, 100
33.3, 2.691, 25
39.0, 2.307, 25
47.8, 1.905, 23
76.7, 1.242, 23
33.2, 2.699, 20
22.0, 4.049, 19
53.9, 1.702, 17
44.8, 2.024, 16
40.2, 2.241, 16



Record 2
# V2N3
Computed X-ray powder pattern, Cu Kα (λ = 1.5418 Å). Input: a cell relaxed with GGA-PBE.
No peak broadening, texture or thermal motion is included.

Crystal structure
a b c (Å): 2.818 2.818 6.257
angles (deg): 90.00 90.00 120.00
Fractional coordinates of all 5 atoms:
V 0.333 0.667 0.198
V 0.667 0.333 0.802
N 0.000 0.000 0.000
N 0.000 0.000 0.393
N 0.000 0.000 0.607

Main lines, most intense first (10 to 90 degrees two-theta):
2theta, d_spacing, I_rel
39.6, 2.274, 100
47.2, 1.924, 48
58.2, 1.586, 25
66.3, 1.409, 22
28.5, 3.129, 20
14.2, 6.257, 18
71.7, 1.317, 15
80.1, 1.198, 10
73.7, 1.285, 8
85.4, 1.137, 7



Record 3
# Ce3Tl
Computed X-ray powder pattern, Cu Kα (λ = 1.5418 Å). Input: a cell relaxed with GGA-PBE.
No peak broadening, texture or thermal motion is included.

Crystal structure
a b c (Å): 4.841 4.841 4.841
angles (deg): 90.00 90.00 90.00
Fractional coordinates of all 4 atoms:
Ce 0.000 0.000 0.500
Ce 0.000 0.500 0.000
Ce 0.500 0.000 0.000
Tl 0.500 0.500 0.500

Main lines, most intense first (10 to 90 degrees two-theta):
2theta, d_spacing, I_rel
32.0, 2.795, 100
37.1, 2.421, 50
63.8, 1.460, 42
53.5, 1.712, 35
87.9, 1.111, 18
67.0, 1.398, 12
79.1, 1.210, 6
18.3, 4.841, 3
26.0, 3.423, 2
41.7, 2.165, 1



Record 4
# Ba2YMgCu3O7
Computed X-ray powder pattern, Cu Kα (λ = 1.5418 Å). Input: a cell relaxed with GGA-PBE.
No peak broadening, texture or thermal motion is included.

Crystal structure
a b c (Å): 3.740 3.951 14.519
angles (deg): 90.00 90.00 90.00
Fractional coordinates of all 14 atoms:
Ba 0.000 0.000 0.000
Ba 0.000 0.000 0.309
Y 0.000 0.000 0.742
Mg 0.000 0.500 0.499
Cu 0.500 0.500 0.157
Cu 0.500 0.500 0.640
Cu 0.500 0.500 0.859
O 0.000 0.500 0.632
O 0.000 0.500 0.831
O 0.500 0.000 0.195
O 0.500 0.000 0.648
O 0.500 0.000 0.848
O 0.500 0.500 0.023
O 0.500 0.500 0.431

Main lines, most intense first (10 to 90 degrees two-theta):
2theta, d_spacing, I_rel
33.0, 2.716, 100
34.4, 2.605, 82
33.5, 2.672, 82
29.2, 3.061, 67
30.2, 2.959, 53
45.9, 1.976, 40
55.8, 1.649, 37
38.0, 2.369, 35
58.7, 1.574, 34
48.7, 1.870, 33